(1)
Structure and calculated X-ray diffraction stick pattern of Cs3RhF8 (a DFT-relaxed cell (PBE, Alexandria); CuKα).
No peak broadening, texture or thermal motion is included.

The 6 most intense peaks (2θ = 5–70°), in order of rising 2θ:
2θ = 24.40°, d 3.648, I = 100.0
2θ = 27.78°, d 3.212, I = 20.8
2θ = 39.69°, d 2.271, I = 17.1
2θ = 40.72°, d 2.216, I = 32.6
2θ = 47.14°, d 1.928, I = 29.3
2θ = 64.75°, d 1.440, I = 15.0

Crystal structure
a = 7.6233 Å, b = 7.6233 Å, c = 7.6233 Å
α = 130.16°, β = 130.16°, γ = 73.14°
Fractional coordinates of all 12 atoms:
Cs1 0.0000 0.0000 0.0000
Cs2 0.2500 0.7500 0.5000
Cs3 0.7500 0.2500 0.5000
Rh1 0.5000 0.5000 0.0000
F1 0.2194 0.2194 0.6317
F2 0.2194 0.5877 0.0000
F3 0.4123 0.4123 0.6317
F4 0.4123 0.7806 0.0000
F5 0.5877 0.2194 0.0000
F6 0.5877 0.5877 0.3683
F7 0.7806 0.4123 0.0000
F8 0.7806 0.7806 0.3683


(2)
Structure and calculated X-ray diffraction stick pattern of AcLa14Th (a DFT-relaxed cell (PBE, Alexandria); CuKα).
No peak broadening, texture or thermal motion is included.

The 6 most intense peaks (2θ = 5–70°), in order of rising 2θ:
2θ = 29.38°, d 3.040, I = 100.0
2θ = 34.06°, d 2.633, I = 50.7
2θ = 48.93°, d 1.862, I = 36.4
2θ = 58.08°, d 1.588, I = 28.7
2θ = 58.16°, d 1.586, I = 14.5
2θ = 60.96°, d 1.520, I = 12.4

Crystal structure
a = 10.5187 Å, b = 7.4501 Å, c = 7.4501 Å
α = 90.06°, β = 90.00°, γ = 90.00°
Fractional coordinates of all 16 atoms:
Ac1 0.0000 0.0000 0.0000
La1 0.0000 0.5002 0.9990
La2 0.0000 0.9990 0.5002
La3 0.2475 0.2579 0.2579
La4 0.2475 0.2579 0.7409
La5 0.2475 0.7409 0.2579
La6 0.2475 0.7411 0.7411
La7 0.5000 0.0001 0.4985
La8 0.5000 0.4985 0.0001
La9 0.5000 0.5004 0.5004
La10 0.5000 0.9986 0.9986
La11 0.7525 0.7411 0.7411
La12 0.7525 0.2579 0.2579
La13 0.7525 0.2579 0.7409
La14 0.7525 0.7409 0.2579
Th1 0.0000 0.4991 0.4991


(3)
Structure and calculated X-ray diffraction stick pattern of BaCd3Pb (a DFT-relaxed cell (PBE, Alexandria); CuKα).
No peak broadening, texture or thermal motion is included.

The 6 most intense peaks (2θ = 5–70°), in order of rising 2θ:
2θ = 29.52°, d 3.026, I = 100.0
2θ = 32.88°, d 2.724, I = 34.5
2θ = 37.37°, d 2.406, I = 49.1
2θ = 37.95°, d 2.371, I = 31.9
2θ = 50.61°, d 1.804, I = 19.8
2θ = 62.64°, d 1.483, I = 23.4

Crystal structure
a = 4.8125 Å, b = 4.8125 Å, c = 13.2197 Å
α = 90.00°, β = 90.00°, γ = 90.00°
Fractional coordinates of all 10 atoms:
Ba1 0.0000 0.0000 0.2500
Ba2 0.0000 0.0000 0.7500
Cd1 0.0000 0.5000 0.0000
Cd2 0.5000 0.0000 0.5000
Cd3 0.5000 0.5000 0.1427
Cd4 0.5000 0.5000 0.3573
Cd5 0.5000 0.5000 0.6427
Cd6 0.5000 0.5000 0.8573
Pb1 0.0000 0.5000 0.5000
Pb2 0.5000 0.0000 0.0000